[1]
Calculated powder diffraction line list
Compound: Pr4GePtBr2
Radiation: a wavelength of 1.5418 Å
Structure: a cell relaxed with PBE
Peak positions follow from Bragg's law for the DFT cell and can differ from measured ones.

The 10 most intense peaks (2θ from 5° to 70°), most intense first:
| (hkl) | d_spacing | 2theta | Rel. int. |
| --- | --- | --- | --- |
| 1 1 1 | 3.098 | 28.8 | 100 |
| 2 0 -2 | 3.127 | 28.5 | 53 |
| 3 1 -1 | 2.198 | 41.1 | 41 |
| 1 1 -3 | 2.204 | 41.0 | 33 |
| 0 0 1 | 7.378 | 12.0 | 32 |
| 2 2 -2 | 1.749 | 52.3 | 20 |
| 0 2 0 | 2.110 | 42.9 | 18 |
| 2 0 2 | 2.281 | 39.5 | 17 |
| 1 1 2 | 2.422 | 37.1 | 12 |
| 4 0 0 | 1.839 | 49.6 | 10 |

Structural model:
a b c (Å): 7.727 4.221 7.755
angles (deg): 90.00 107.78 90.00
Space group P2/m (No. 10)
One atom of each set of equivalent atoms:
1 Pr 0.224 0.000 0.203 (multiplicity 2)
2 Pr 0.261 0.500 0.783 (multiplicity 2)
3 Ge 0.500 0.000 0.000 (multiplicity 1)
4 Pt 0.000 0.500 0.000 (multiplicity 1)
5 Br 0.000 0.000 0.500 (multiplicity 1)
6 Br 0.500 0.500 0.500 (multiplicity 1)


[2]
Calculated powder diffraction line list
Compound: RbPrGe2Br8
Radiation: a wavelength of 1.5418 Å
Structure: a cell relaxed with PBE
Peak positions follow from Bragg's law for the DFT cell and can differ from measured ones.

The 10 most intense peaks (2θ from 5° to 70°), most intense first:
| (hkl) | d_spacing | 2theta | Rel. int. |
| --- | --- | --- | --- |
| 1 2 0 | 3.340 | 26.7 | 100 |
| 1 -1 2 | 3.365 | 26.5 | 99 |
| 1 0 -2 | 3.982 | 22.3 | 97 |
| -1 1 2 | 3.495 | 25.5 | 91 |
| 1 1 0 | 5.183 | 17.1 | 78 |
| 0 0 1 | 9.882 | 8.9 | 72 |
| 2 1 2 | 2.698 | 33.2 | 70 |
| 1 -1 0 | 4.754 | 18.7 | 65 |
| -2 1 2 | 2.565 | 35.0 | 50 |
| 1 -2 0 | 3.105 | 28.8 | 45 |

Structural model:
a b c (Å): 6.754 7.362 9.899
angles (deg): 86.61 89.59 85.02
Space group P-1 (No. 2)
One atom of each set of equivalent atoms:
1 Rb 0.000 0.000 0.000 (multiplicity 1)
2 Pr 0.000 0.000 0.500 (multiplicity 1)
3 Ge 0.450 0.453 0.275 (multiplicity 2)
4 Br 0.232 0.817 0.293 (multiplicity 2)
5 Br 0.240 0.324 0.474 (multiplicity 2)
6 Br 0.262 0.373 0.080 (multiplicity 2)
7 Br 0.271 0.857 0.719 (multiplicity 2)